# 1
The following is a calculated powder diffraction line list of Ac11Hg9Rh4. It was derived from a DFT-relaxed cell (GGA-PBE, Alexandria), using Cu Kα (λ = 1.5418 Å).
Peak positions follow from Bragg's law for the DFT cell and can differ from measured ones.

Cell lengths 13.916, 13.916, 4.026 Å; angles 90.00, 90.00, 112.57 degrees
Element x y z (fractional)
1 Ac 0.000 0.000 0.000
2 Ac 0.083 0.417 0.000
3 Ac 0.167 0.833 0.000
4 Ac 0.307 0.307 0.000
5 Ac 0.374 0.626 0.000
6 Ac 0.417 0.083 0.000
7 Ac 0.583 0.917 0.000
8 Ac 0.626 0.374 0.000
9 Ac 0.693 0.693 0.000
10 Ac 0.833 0.167 0.000
11 Ac 0.917 0.583 0.000
12 Hg 0.067 0.214 0.500
13 Hg 0.156 0.631 0.500
14 Hg 0.214 0.067 0.500
15 Hg 0.369 0.844 0.500
16 Hg 0.500 0.500 0.500
17 Hg 0.631 0.156 0.500
18 Hg 0.786 0.933 0.500
19 Hg 0.844 0.369 0.500
20 Hg 0.933 0.786 0.500
21 Rh 0.251 0.451 0.500
22 Rh 0.451 0.251 0.500
23 Rh 0.549 0.749 0.500
24 Rh 0.749 0.549 0.500

Most intense lines, 10° ≤ 2θ ≤ 80°, low angle first:
d 3.142, 2θ 28.40, I = 100
d 2.981, 2θ 29.98, I = 114
d 2.786, 2θ 32.13, I = 1000
d 2.730, 2θ 32.81, I = 416
d 2.618, 2θ 34.25, I = 122
d 2.513, 2θ 35.74, I = 124
d 2.013, 2θ 45.04, I = 162
d 1.930, 2θ 47.08, I = 114
d 1.620, 2θ 56.83, I = 187
d 1.587, 2θ 58.15, I = 127

=====

# 2
The following is a calculated powder diffraction line list of Ac8HgRh2. It was derived from a DFT-relaxed cell (GGA-PBE, Alexandria), using Cu Kα (λ = 1.5418 Å).
Peak positions follow from Bragg's law for the DFT cell and can differ from measured ones.

Cell lengths 8.636, 8.636, 6.346 Å; angles 98.10, 98.10, 116.33 degrees
Element x y z (fractional)
1 Ac 0.000 0.000 0.000
2 Ac 0.039 0.297 0.614
3 Ac 0.153 0.620 0.191
4 Ac 0.297 0.039 0.614
5 Ac 0.472 0.730 0.775
6 Ac 0.620 0.153 0.191
7 Ac 0.730 0.472 0.775
8 Ac 0.766 0.766 0.380
9 Hg 0.387 0.387 0.102
10 Rh 0.103 0.669 0.693
11 Rh 0.669 0.103 0.693

Most intense lines, 10° ≤ 2θ ≤ 80°, low angle first:
d 3.307, 2θ 26.96, I = 214
d 3.186, 2θ 28.01, I = 598
d 3.146, 2θ 28.37, I = 740
d 3.091, 2θ 28.89, I = 469
d 2.908, 2θ 30.75, I = 497
d 2.817, 2θ 31.77, I = 1000
d 2.696, 2θ 33.24, I = 209
d 2.618, 2θ 34.25, I = 289
d 1.914, 2θ 47.50, I = 276
d 1.798, 2θ 50.79, I = 238

=====

# 3
The following is a calculated powder diffraction line list of Ac5Hg2Ru2. It was derived from a DFT-relaxed cell (GGA-PBE, Alexandria), using Cu Kα (λ = 1.5418 Å).
Peak positions follow from Bragg's law for the DFT cell and can differ from measured ones.

Cell lengths 9.424, 9.424, 8.292 Å; angles 90.00, 90.00, 51.62 degrees
Element x y z (fractional)
1 Ac 0.000 0.000 0.000
2 Ac 0.046 0.718 0.664
3 Ac 0.218 0.546 0.164
4 Ac 0.282 0.954 0.664
5 Ac 0.454 0.782 0.164
6 Ac 0.500 0.500 0.500
7 Ac 0.546 0.218 0.836
8 Ac 0.718 0.046 0.336
9 Ac 0.782 0.454 0.836
10 Ac 0.954 0.282 0.336
11 Hg 0.214 0.214 0.000
12 Hg 0.286 0.286 0.500
13 Hg 0.714 0.714 0.500
14 Hg 0.786 0.786 0.000
15 Ru 0.137 0.863 0.363
16 Ru 0.363 0.637 0.863
17 Ru 0.637 0.363 0.137
18 Ru 0.863 0.137 0.637

Most intense lines, 10° ≤ 2θ ≤ 80°, low angle first:
d 3.097, 2θ 28.83, I = 629
d 2.965, 2θ 30.14, I = 645
d 2.949, 2θ 30.31, I = 623
d 2.933, 2θ 30.48, I = 837
d 2.916, 2θ 30.66, I = 581
d 2.779, 2θ 32.22, I = 1000
d 2.589, 2θ 34.65, I = 720
d 2.568, 2θ 34.95, I = 702
d 2.501, 2θ 35.90, I = 584
d 1.687, 2θ 54.39, I = 521